# 1
Diffraction record for NiI2O10. The X-ray powder pattern is calculated, not measured: it uses DFT lattice parameters and positions (PBE+U) and Cu Kα (λ = 1.5418 Å).
Kinematic intensities with the Lorentz-polarization factor, no thermal factor.

Largest 6 diffraction maxima, in order of falling intensity, 2θ from 10° to 90°:
(1 1 0), 18.50°, 4.796 Å, intensity 100
(0 0 2), 21.83°, 4.071 Å, intensity 86
(2 1 0), 27.88°, 3.201 Å, intensity 46
(1 1 1), 22.18°, 4.008 Å, intensity 45
(1 1 -2), 27.71°, 3.220 Å, intensity 45
(3 0 2), 44.81°, 2.023 Å, intensity 41

Atomic structure:
```
data_NiI2O10
_symmetry_space_group_name_H-M 'P 1 21/c 1'
_symmetry_Int_Tables_number 14
_symmetry_space_group_name_Hall '-P 2ybc'
_cell_length_a 7.4912
_cell_length_b 6.2698
_cell_length_c 8.1926
_cell_angle_alpha 90.00
_cell_angle_beta 96.42
_cell_angle_gamma 90.00
loop_
_atom_site_label
_atom_site_type_symbol
_atom_site_fract_x
_atom_site_fract_y
_atom_site_fract_z
Ni1 Ni 0.0000 0.0000 0.0000
I1 I 0.3422 0.1973 0.5420
O1 O 0.0875 0.2192 0.4940
O2 O 0.1041 0.5916 0.3197
O3 O 0.2343 0.5748 0.5650
O4 O 0.3306 0.5689 0.9477
O5 O 0.3524 0.1242 0.7613
```

---

# 2
Diffraction record for SrV2As2O10. The X-ray powder pattern is calculated, not measured: it uses DFT lattice parameters and positions (PBE+U) and Cu Kα (λ = 1.5418 Å).
Kinematic intensities with the Lorentz-polarization factor, no thermal factor.

Largest 6 diffraction maxima, in order of falling intensity, 2θ from 10° to 90°:
(1 3 1), 28.42°, 3.140 Å, intensity 100
(1 2 2), 26.52°, 3.361 Å, intensity 99
(1 1 3), 28.22°, 3.163 Å, intensity 84
(1 1 2), 23.55°, 3.777 Å, intensity 74
(0 0 4), 27.59°, 3.233 Å, intensity 70
(0 4 0), 28.00°, 3.186 Å, intensity 52

Atomic structure:
```
data_SrV2As2O10
_symmetry_space_group_name_H-M 'P 21 21 21'
_symmetry_Int_Tables_number 19
_symmetry_space_group_name_Hall 'P 2ac 2ab'
_cell_length_a 5.0010
_cell_length_b 12.7452
_cell_length_c 12.9296
_cell_angle_alpha 90.00
_cell_angle_beta 90.00
_cell_angle_gamma 90.00
loop_
_atom_site_label
_atom_site_type_symbol
_atom_site_fract_x
_atom_site_fract_y
_atom_site_fract_z
Sr1 Sr 0.2382 0.0073 0.2675
V1 V 0.0065 0.8478 0.0067
V2 V 0.2259 0.2439 0.0975
As1 As 0.0413 0.4671 0.9972
As2 As 0.2349 0.2613 0.7191
O1 O 0.0166 0.1868 0.2226
O2 O 0.0166 0.2008 0.8021
O3 O 0.0196 0.7126 0.4896
O4 O 0.0943 0.3950 0.1096
O5 O 0.0942 0.8983 0.6059
O6 O 0.1026 0.3656 0.6501
O7 O 0.1721 0.8481 0.1473
O8 O 0.1778 0.4783 0.4453
O9 O 0.1871 0.0558 0.4551
O10 O 0.2435 0.7331 0.9670
```